For HgP, a crystal structure in OQMD, relaxed with PBE gives the simulated powder diffractogram in this record (Cu Kα, 1.54184 Å).
Neutral-atom scattering factors, no anomalous dispersion.

Structural model:
```
HgP
1.0
5.491 0.000 0.000
0.000 5.491 0.000
0.000 0.000 5.491
Hg P
4 4
direct
0.000 0.000 0.000 Hg
0.000 0.500 0.500 Hg
0.500 0.000 0.500 Hg
0.500 0.500 0.000 Hg
0.000 0.000 0.500 P
0.000 0.500 0.000 P
0.500 0.000 0.000 P
0.500 0.500 0.500 P
```

Top 6 peaks for 2θ = 5–70°, by angle:
hkl 1 1 1, 28.15°, intensity 100; hkl 2 0 0, 32.61°, intensity 98; hkl 2 2 0, 46.79°, intensity 72; hkl 3 1 1, 55.50°, intensity 49; hkl 2 2 2, 58.20°, intensity 25; hkl 4 0 0, 68.33°, intensity 12